This entry pairs a crystal structure of KNa5 with its theoretical powder XRD pattern. Radiation: Cu Kα (weighted mean of Kα1 and Kα2). Structure: a structure optimized by DFT (GGA-PBE).
Lines closer than 0.1° are merged.

Crystal structure
Cell: 6.1626 6.1626 7.8067 Å, 90.00 90.00 120.00°
Fractional positions:
K 0.0000 0.0000 0.0000
Na 0.0000 0.0000 0.5000
Na 0.3333 0.6667 0.2703
Na 0.3333 0.6667 0.7297
Na 0.6667 0.3333 0.2703
Na 0.6667 0.3333 0.7297

Largest 10 diffraction maxima, sorted by position, 2θ from 15° to 90°:
| 2θ (°) | intensity |
| --- | --- |
| 20.15 | 10 |
| 28.33 | 100 |
| 28.98 | 99 |
| 40.97 | 35 |
| 50.96 | 34 |
| 51.36 | 18 |
| 55.75 | 23 |
| 60.05 | 10 |
| 67.70 | 13 |
| 71.80 | 10 |

This entry pairs a crystal structure of NaAc with its theoretical powder XRD pattern. Radiation: Cu Kα (weighted mean of Kα1 and Kα2). Structure: a structure optimized by DFT (GGA-PBE).
Lines closer than 0.1° are merged.

Crystal structure
Cell: 3.9354 3.9354 12.7903 Å, 90.00 90.00 120.00°
Fractional positions:
Na 0.3333 0.6667 0.1204
Na 0.6667 0.3333 0.8796
Ac 0.3333 0.6667 0.6247
Ac 0.6667 0.3333 0.3753

Largest 10 diffraction maxima, sorted by position, 2θ from 15° to 90°:
| 2θ (°) | intensity |
| --- | --- |
| 20.84 | 17 |
| 26.15 | 23 |
| 27.08 | 53 |
| 27.90 | 26 |
| 29.70 | 100 |
| 33.67 | 31 |
| 46.13 | 20 |
| 50.50 | 23 |
| 54.78 | 25 |
| 55.83 | 17 |

This entry pairs a crystal structure of HfCu2Br6 with its theoretical powder XRD pattern. Radiation: Cu Kα (weighted mean of Kα1 and Kα2). Structure: a structure optimized by DFT (GGA-PBE).
Lines closer than 0.1° are merged.

Crystal structure
Cell: 10.1055 10.1055 6.4956 Å, 91.21 91.21 90.25°
Fractional positions:
Hf 0.0896 0.9104 0.7500
Hf 0.9104 0.0896 0.2500
Cu 0.4202 0.4364 0.1234
Cu 0.4364 0.4202 0.6234
Cu 0.5636 0.5798 0.3766
Cu 0.5798 0.5636 0.8766
Br 0.0448 0.1631 0.5860
Br 0.0878 0.6840 0.8888
Br 0.1631 0.0448 0.0860
Br 0.2777 0.4886 0.3905
Br 0.3160 0.9122 0.6112
Br 0.4886 0.2777 0.8905
Br 0.5114 0.7223 0.1095
Br 0.6840 0.0878 0.3888
Br 0.7223 0.5114 0.6095
Br 0.8369 0.9552 0.9140
Br 0.9122 0.3160 0.1112
Br 0.9552 0.8369 0.4140

Largest 10 diffraction maxima, sorted by position, 2θ from 15° to 90°:
| 2θ (°) | intensity |
| --- | --- |
| 17.56 | 37 |
| 18.45 | 77 |
| 22.53 | 44 |
| 29.62 | 100 |
| 30.60 | 37 |
| 30.99 | 32 |
| 34.50 | 31 |
| 39.69 | 40 |
| 46.01 | 37 |
| 46.71 | 42 |